No. 1
Simulated XRD peak list
Compound: PrBiH6Rh3
Radiation: Cu Kα
Structure: a PBE-relaxed structure
Kinematic intensities with the Lorentz-polarization factor, no thermal factor.

The 8 most intense peaks (2θ from 5° to 70°), in order of falling intensity:
| 2θ/deg | Rel. int. |
| --- | --- |
| 23.92 | 100 |
| 43.13 | 85 |
| 35.34 | 68 |
| 38.54 | 59 |
| 32.53 | 44 |
| 40.78 | 40 |
| 42.07 | 34 |
| 66.50 | 30 |

Cell and atoms:
```
data_PrBiH6Rh3
_symmetry_space_group_name_H-M 'R 3'
_symmetry_Int_Tables_number 146
_symmetry_space_group_name_Hall 'R 3'
_cell_length_a 7.4398
_cell_length_b 7.4398
_cell_length_c 8.2574
_cell_angle_alpha 90.00
_cell_angle_beta 90.00
_cell_angle_gamma 120.00
loop_
_atom_site_label
_atom_site_fract_x
_atom_site_fract_y
_atom_site_fract_z
Pr1 0.0000 0.0000 0.0000
Bi1 0.0000 0.0000 0.4081
H1 0.0107 0.4090 0.5266
H2 0.0287 0.8102 0.7383
Rh1 0.1160 0.4146 0.3346
```



No. 2
Simulated XRD peak list
Compound: BiH6PtRh2
Radiation: Cu Kα
Structure: a PBE-relaxed structure
Kinematic intensities with the Lorentz-polarization factor, no thermal factor.

The 8 most intense peaks (2θ from 5° to 70°), in order of falling intensity:
| 2θ/deg | Rel. int. |
| --- | --- |
| 37.46 | 100 |
| 36.90 | 90 |
| 26.74 | 80 |
| 13.67 | 72 |
| 42.56 | 65 |
| 35.99 | 65 |
| 39.20 | 58 |
| 27.55 | 55 |

Cell and atoms:
```
data_BiH6PtRh2
_symmetry_space_group_name_H-M 'C 1 2/c 1'
_symmetry_Int_Tables_number 15
_symmetry_space_group_name_Hall '-C 2yc'
_cell_length_a 9.5235
_cell_length_b 9.1250
_cell_length_c 5.0579
_cell_angle_alpha 90.00
_cell_angle_beta 105.15
_cell_angle_gamma 90.00
loop_
_atom_site_label
_atom_site_fract_x
_atom_site_fract_y
_atom_site_fract_z
Bi1 0.0000 0.1218 0.2500
H1 0.0914 0.4398 0.9368
H2 0.1917 0.2655 0.7755
H3 0.2289 0.4331 0.3303
Pt1 0.0000 0.2913 0.7500
Rh1 0.2234 0.0890 0.9880
```



No. 3
Simulated XRD peak list
Compound: ZnBi2H2Pt7
Radiation: Cu Kα
Structure: a PBE-relaxed structure
Kinematic intensities with the Lorentz-polarization factor, no thermal factor.

The 8 most intense peaks (2θ from 5° to 70°), in order of falling intensity:
| 2θ/deg | Rel. int. |
| --- | --- |
| 45.19 | 100 |
| 39.20 | 97 |
| 32.50 | 56 |
| 39.31 | 48 |
| 38.87 | 47 |
| 35.17 | 43 |
| 34.89 | 29 |
| 34.62 | 28 |

Cell and atoms:
```
data_ZnBi2H2Pt7
_symmetry_space_group_name_H-M 'C 1 2/m 1'
_symmetry_Int_Tables_number 12
_symmetry_space_group_name_Hall '-C 2y'
_cell_length_a 5.6868
_cell_length_b 5.6631
_cell_length_c 12.1054
_cell_angle_alpha 90.00
_cell_angle_beta 102.93
_cell_angle_gamma 90.00
loop_
_atom_site_label
_atom_site_fract_x
_atom_site_fract_y
_atom_site_fract_z
Zn1 0.0000 0.0000 0.0000
Bi1 0.2108 0.0000 0.4100
H1 0.1430 0.0000 0.7579
Pt1 0.0000 0.5000 0.0000
Pt2 0.1472 0.5000 0.3428
Pt3 0.1760 0.2599 0.8383
```